# 1
The following is a simulated powder diffraction line list of Ti4CoS8. It was derived from DFT lattice parameters and positions (PBE), using Cu Ka.
Intensities are scaled so that the largest is 1000.

Atomic structure:
Cell: 11.2859 6.7936 8.1063 Å, 90.00 133.69 90.00°
Space group C2/m (No. 12)
One atom of each set of equivalent atoms:
Ti: 0.0000 0.2418 0.0000 [4 per cell]
Ti: 0.2419 0.0000 0.4954 [4 per cell]
Co: 0.0000 0.5000 0.5000 [2 per cell]
S: 0.0380 0.5000 0.8272 [4 per cell]
S: 0.0469 0.0000 0.8340 [4 per cell]
S: 0.2031 0.2552 0.6665 [8 per cell]

The 6 most intense peaks (2θ = 10–90°), sorted by position:
2θ (°), intensity, h k l
15.70, 400, 2 0 -1
34.37, 566, 2 0 1
34.46, 1000, 2 2 -2
44.42, 791, 4 2 -1
44.60, 447, 4 2 -3
54.16, 483, 0 2 3

***

# 2
The following is a simulated powder diffraction line list of Ti2CoS4. It was derived from DFT lattice parameters and positions (PBE), using Cu Ka.
Intensities are scaled so that the largest is 1000.

Atomic structure:
Cell: 9.9356 9.9356 9.9356 Å, 90.00 90.00 90.00°
Space group Fd-3m (No. 227, origin choice 2)
One atom of each set of equivalent atoms:
Ti: 0.0000 0.0000 0.0000 [16 per cell]
Co: 0.1250 0.1250 0.6250 [8 per cell]
S: 0.0027 0.0027 0.2473 [32 per cell]

The 6 most intense peaks (2θ = 10–90°), sorted by position:
2θ (°), intensity, h k l
25.35, 362, 2 2 0
29.82, 1000, 3 1 1
36.16, 476, 4 0 0
47.55, 371, 5 1 1
52.07, 933, 4 4 0
73.17, 175, 5 5 3

***

# 3
The following is a simulated powder diffraction line list of TiTl2CoS4. It was derived from DFT lattice parameters and positions (PBE), using Cu Ka.
Intensities are scaled so that the largest is 1000.

Atomic structure:
Cell: 5.5706 12.9784 23.2492 Å, 90.00 90.00 90.00°
Space group Fddd (No. 70, origin choice 2)
One atom of each set of equivalent atoms:
Ti: 0.1250 0.1250 0.1250 [8 per cell]
Tl: 0.1250 0.1250 0.3029 [16 per cell]
Co: 0.1250 0.1250 0.6250 [8 per cell]
S: 0.1223 0.2765 0.8212 [32 per cell]

The 6 most intense peaks (2θ = 10–90°), sorted by position:
2θ (°), intensity, h k l
20.80, 901, 1 1 3
26.80, 914, 0 2 6
28.55, 1000, 1 3 3
32.52, 471, 1 3 5
35.06, 478, 2 2 0
39.86, 435, 2 0 6

***

# 4
The following is a simulated powder diffraction line list of TlCo6S8. It was derived from DFT lattice parameters and positions (PBE), using Cu Ka.
Intensities are scaled so that the largest is 1000.

Atomic structure:
Cell: 8.8560 8.8560 10.7496 Å, 90.00 90.00 120.00°
Space group R-3 (No. 148, hexagonal axes)
One atom of each set of equivalent atoms:
Tl: 0.0000 0.0000 0.0000 [3 per cell]
Co: 0.0176 0.8173 0.3869 [18 per cell]
S: 0.0000 0.0000 0.2626 [6 per cell]
S: 0.0291 0.7280 0.5829 [18 per cell]

The 6 most intense peaks (2θ = 10–90°), sorted by position:
2θ (°), intensity, h k l
20.17, 485, 0 1 2
24.65, 798, 0 2 1
24.85, 503, 0 0 3
31.98, 1000, 2 1 1
35.14, 632, 3 0 0
46.06, 604, 3 -1 4

***

# 5
The following is a simulated powder diffraction line list of U8CoS17. It was derived from DFT lattice parameters and positions (PBE), using Cu Ka.
Intensities are scaled so that the largest is 1000.

Atomic structure:
Cell: 13.1520 8.2714 10.2586 Å, 90.00 101.23 90.00°
Space group C2/m (No. 12)
One atom of each set of equivalent atoms:
U: 0.0591 0.2406 0.2021 [8 per cell]
U: 0.1824 0.5000 0.5176 [4 per cell]
U: 0.2030 0.0000 0.9537 [4 per cell]
Co: 0.0000 0.0000 0.5000 [2 per cell]
S: 0.0000 0.0000 0.0000 [2 per cell]
S: 0.0209 0.5000 0.6701 [4 per cell]
S: 0.0557 0.0000 0.7220 [4 per cell]
S: 0.1268 0.3066 0.9641 [8 per cell]
S: 0.1326 0.1888 0.4730 [8 per cell]
S: 0.1986 0.5000 0.2561 [4 per cell]
S: 0.2126 0.0000 0.2206 [4 per cell]

The 6 most intense peaks (2θ = 10–90°), sorted by position:
2θ (°), intensity, h k l
24.47, 588, 2 0 2
25.59, 1000, 2 2 0
26.19, 653, 2 2 -1
27.93, 881, 0 2 2
35.69, 421, 0 0 4
41.11, 423, 4 2 -3

***

# 6
The following is a simulated powder diffraction line list of Zn3CoS4. It was derived from DFT lattice parameters and positions (PBE), using Cu Ka.
Intensities are scaled so that the largest is 1000.

Atomic structure:
Cell: 3.8109 3.8109 10.7908 Å, 90.00 90.00 90.00°
Space group P-4m2 (No. 115)
One atom of each set of equivalent atoms:
Zn: 0.0000 0.0000 0.0000 [1 per cell]
Zn: 0.5000 0.5000 0.2555 [2 per cell]
Co: 0.0000 0.0000 0.5000 [1 per cell]
S: 0.0000 0.5000 0.1276 [2 per cell]
S: 0.0000 0.5000 0.6164 [2 per cell]

The 6 most intense peaks (2θ = 10–90°), sorted by position:
2θ (°), intensity, h k l
28.68, 1000, 1 0 2
33.23, 111, 0 0 4
47.71, 603, 2 0 0
56.62, 397, 2 1 2
77.11, 150, 3 0 2
88.94, 186, 3 1 4